Simulated X-ray diffraction stick pattern
Compound: SrHfAs2
Radiation: CuKα
Structure: a crystal structure in OQMD, relaxed with PBE
Peak positions follow from Bragg's law for the DFT cell and can differ from measured ones.

Structural model:
Unit cell a=7.0875 b=7.0875 c=7.0875 alpha=90.00 beta=90.00 gamma=90.00
Space group F-43m (No. 216)
One atom of each set of equivalent atoms:
Sr1 0.0000 0.0000 0.0000 (multiplicity 4)
Hf1 0.2500 0.2500 0.2500 (multiplicity 4)
As1 0.0000 0.0000 0.5000 (multiplicity 4)
As2 0.2500 0.2500 0.7500 (multiplicity 4)

Principal peaks in the range 15 to 90 degrees two-theta, sorted by position:
21.72°, intensity 13
25.13°, intensity 5
35.84°, intensity 100
42.29°, intensity 7
51.58°, intensity 18
56.60°, intensity 3
58.21°, intensity 2
64.40°, intensity 36
68.83°, intensity 2
75.95°, intensity 11
80.11°, intensity 2
86.93°, intensity 16